Record 1
Starting from a PBE-relaxed structure, the X-ray diffraction stick pattern of CaAl2H4Pb2O4F6 was simulated for Cu Kα (λ = 1.5418 Å).

The 12 most intense peaks (15° ≤ 2θ ≤ 90°), in order of rising 2θ:
| two_theta | I_rel |
| --- | --- |
| 15.02 | 35 |
| 15.33 | 56 |
| 15.59 | 42 |
| 17.85 | 64 |
| 20.53 | 39 |
| 23.42 | 70 |
| 24.69 | 31 |
| 25.38 | 63 |
| 25.72 | 100 |
| 26.65 | 30 |
| 29.63 | 30 |
| 30.05 | 29 |

Crystal structure
Cell lengths 6.188, 6.842, 7.540 Å; angles 65.11, 79.36, 69.22 degrees
Element x y z (fractional)
Ca 0.000 0.000 0.000
Al 0.332 0.987 0.258
Al 0.588 0.925 0.895
H 0.331 0.124 0.624
H 0.442 0.635 0.177
H 0.490 0.258 0.998
H 0.544 0.757 0.557
Pb 0.100 0.554 0.667
Pb 0.832 0.418 0.416
O 0.328 0.127 0.754
O 0.386 0.798 0.098
O 0.508 0.733 0.448
O 0.563 0.095 0.064
F 0.066 0.896 0.349
F 0.119 0.228 0.072
F 0.287 0.165 0.387
F 0.660 0.734 0.771
F 0.794 0.078 0.740
F 0.846 0.725 0.055

***

Record 2
Starting from a PBE-relaxed structure, the X-ray diffraction stick pattern of Li8Ag2Ge3 was simulated for Cu Kα (λ = 1.5418 Å).

The 12 most intense peaks (15° ≤ 2θ ≤ 90°), in order of rising 2θ:
| two_theta | I_rel |
| --- | --- |
| 18.97 | 49 |
| 23.58 | 33 |
| 25.46 | 95 |
| 29.92 | 17 |
| 34.73 | 100 |
| 39.87 | 52 |
| 40.70 | 69 |
| 43.55 | 27 |
| 54.55 | 24 |
| 56.87 | 20 |
| 62.25 | 19 |
| 66.31 | 31 |

Crystal structure
Cell lengths 9.822, 9.822, 9.822 Å; angles 30.49, 30.49, 30.49 degrees
Element x y z (fractional)
Li 0.224 0.224 0.224
Li 0.226 0.226 0.720
Li 0.226 0.720 0.226
Li 0.280 0.774 0.774
Li 0.720 0.226 0.226
Li 0.774 0.280 0.774
Li 0.774 0.774 0.280
Li 0.776 0.776 0.776
Ag 0.135 0.135 0.135
Ag 0.865 0.865 0.865
Ge 0.316 0.316 0.316
Ge 0.500 0.500 0.500
Ge 0.684 0.684 0.684

***

Repeat the first record exactly.
Starting from a PBE-relaxed structure, the X-ray diffraction stick pattern of CaAl2H4Pb2O4F6 was simulated for Cu Kα (λ = 1.5418 Å).

The 12 most intense peaks (15° ≤ 2θ ≤ 90°), in order of rising 2θ:
| two_theta | I_rel |
| --- | --- |
| 15.02 | 35 |
| 15.33 | 56 |
| 15.59 | 42 |
| 17.85 | 64 |
| 20.53 | 39 |
| 23.42 | 70 |
| 24.69 | 31 |
| 25.38 | 63 |
| 25.72 | 100 |
| 26.65 | 30 |
| 29.63 | 30 |
| 30.05 | 29 |

Crystal structure
Cell lengths 6.188, 6.842, 7.540 Å; angles 65.11, 79.36, 69.22 degrees
Element x y z (fractional)
Ca 0.000 0.000 0.000
Al 0.332 0.987 0.258
Al 0.588 0.925 0.895
H 0.331 0.124 0.624
H 0.442 0.635 0.177
H 0.490 0.258 0.998
H 0.544 0.757 0.557
Pb 0.100 0.554 0.667
Pb 0.832 0.418 0.416
O 0.328 0.127 0.754
O 0.386 0.798 0.098
O 0.508 0.733 0.448
O 0.563 0.095 0.064
F 0.066 0.896 0.349
F 0.119 0.228 0.072
F 0.287 0.165 0.387
F 0.660 0.734 0.771
F 0.794 0.078 0.740
F 0.846 0.725 0.055